MgH2SO5: simulated PXRD pattern (a wavelength of 1.5418 Å), based on a cell relaxed with PBE.
Lines closer than 0.1° are merged.

Cell lengths 5.2183, 5.2183, 7.6214 Å; angles 106.24, 106.24, 98.85 degrees
Element x y z (fractional)
Mg: 0.0000 0.5000 0.0000
Mg: 0.5000 0.0000 0.5000
H: 0.0459 0.1370 0.7078
H: 0.1370 0.0459 0.2078
H: 0.8630 0.9541 0.7922
H: 0.9541 0.8630 0.2922
S: 0.4149 0.5851 0.7500
S: 0.5851 0.4149 0.2500
O: 0.1196 0.8804 0.2500
O: 0.2768 0.3274 0.1562
O: 0.2825 0.6651 0.8973
O: 0.3274 0.2768 0.6562
O: 0.3349 0.7175 0.6027
O: 0.6651 0.2825 0.3973
O: 0.6726 0.7232 0.3438
O: 0.7175 0.3349 0.1027
O: 0.7232 0.6726 0.8438
O: 0.8804 0.1196 0.7500

The 12 most intense peaks (2θ = 10–90°), by angle:
2θ (°), I/Imax
18.30, 95
25.84, 100
25.94, 81
26.17, 52
29.55, 42
34.52, 52
34.80, 39
41.74, 17
43.60, 33
53.84, 22
55.20, 16
60.43, 14